Y2SnS5: calculated powder XRD pattern (copper Kα), based on a crystal structure in Alexandria, relaxed with PBE.

Structure:
Cell lengths 5.2540, 13.3279, 12.8423 Å; angles 90.00, 90.00, 90.00 degrees
Space group Cmcm (No. 63)
One atom of each set of equivalent atoms:
Y 0.0000 0.1515 0.0673 [8 per cell]
Sn 0.0000 0.1745 0.7500 [4 per cell]
S 0.0000 0.0453 0.6104 [8 per cell]
S 0.0000 0.2707 0.2500 [4 per cell]
S 0.0000 0.3010 0.5915 [8 per cell]

Most intense lines, 5 to 70 degrees two-theta, low angle first:
| Position (°2θ) | d [Å] | I_rel | index |
| --- | --- | --- | --- |
| 13.29 | 6.664 | 55 | 0 2 0 |
| 18.15 | 4.888 | 86 | 1 1 0 |
| 24.72 | 3.602 | 77 | 0 2 3 |
| 26.27 | 3.392 | 27 | 1 3 0 |
| 27.70 | 3.220 | 27 | 1 1 3 |
| 34.11 | 2.628 | 100 | 2 0 0 |
| 42.22 | 2.140 | 18 | 0 0 6 |
| 42.60 | 2.122 | 35 | 2 2 3 |
| 43.55 | 2.078 | 49 | 1 5 3 |
| 49.02 | 1.858 | 36 | 2 4 3 |